For Er2C, a crystal structure in the Materials Project, relaxed with PBE gives the theoretical powder diffraction line list in this record (λ = 1.5418 Å (Cu Kα)).
No peak broadening, texture or thermal motion is included.

The 6 most intense peaks (10 to 80 degrees two-theta), in order of rising 2θ:
(hkl)  d (Å)  I_rel
0 0 6  3.016  32
0 1 2  2.920  100
1 0 4  2.549  76
0 1 8  1.824  23
1 1 0  1.781  27
1 1 6  1.534  26

Structural model:
```
data_Er2C
_cell_length_a 3.5624
_cell_length_b 3.5624
_cell_length_c 18.0987
_cell_angle_alpha 90.00
_cell_angle_beta 90.00
_cell_angle_gamma 120.00
_symmetry_space_group_name_H-M 'R -3 m'
_symmetry_Int_Tables_number 166
_symmetry_space_group_name_Hall '-R 3 2"'
loop_
_atom_site_label
_atom_site_fract_x
_atom_site_fract_y
_atom_site_fract_z
Er1 0.0000 0.0000 0.2402
C1 0.0000 0.0000 0.5000
```